No. 1
Calculated powder diffraction line list of NaNb10O18 for λ = 1.5418 Å (Cu Kα), from the GGA-PBE geometry in Alexandria.
No peak broadening, texture or thermal motion is included.

Top 10 peaks for 2θ = 10–80°, in order of falling intensity:
2theta	I/Imax
45.06	100
25.57	99
15.36	68
35.77	65
13.00	54
20.78	47
31.04	44
62.53	40
29.34	40
45.56	39

Crystal structure
Lattice parameters (Å, degrees): 7.9269 9.5134 10.4058 90.00 110.35 90.00
Positions (direct):
Na: 0.0000 0.0000 0.0000
Na: 0.0000 0.5000 0.5000
Nb: 0.0035 0.1161 0.6687
Nb: 0.0035 0.3839 0.1687
Nb: 0.1802 0.6291 0.1226
Nb: 0.1802 0.8709 0.6226
Nb: 0.1972 0.1264 0.4815
Nb: 0.1972 0.3736 0.9815
Nb: 0.3964 0.1145 0.2722
Nb: 0.3964 0.3855 0.7722
Nb: 0.3969 0.6281 0.4385
Nb: 0.3969 0.8719 0.9385
Nb: 0.6031 0.1281 0.0615
Nb: 0.6031 0.3719 0.5615
Nb: 0.6036 0.6145 0.2278
Nb: 0.6036 0.8855 0.7278
Nb: 0.8028 0.6264 0.0185
Nb: 0.8028 0.8736 0.5185
Nb: 0.8198 0.1291 0.3774
Nb: 0.8198 0.3709 0.8774
Nb: 0.9965 0.6161 0.8313
Nb: 0.9965 0.8839 0.3313
O: 0.0095 0.2406 0.8486
O: 0.0095 0.2594 0.3486
O: 0.1973 0.7487 0.4608
O: 0.1973 0.7513 0.9608
O: 0.1984 0.0062 0.3018
O: 0.1984 0.4938 0.8018
O: 0.1994 0.5121 0.3041
O: 0.1994 0.9879 0.8041
O: 0.2035 0.2486 0.1465
O: 0.2035 0.2514 0.6465
O: 0.3941 0.0087 0.0983
O: 0.3941 0.4913 0.5983
O: 0.4004 0.5031 0.1071
O: 0.4004 0.9969 0.6071
O: 0.4103 0.7350 0.2732
O: 0.4103 0.7650 0.7732
O: 0.4176 0.2444 0.4324
O: 0.4176 0.2556 0.9324
O: 0.5824 0.7444 0.0676
O: 0.5824 0.7556 0.5676
O: 0.5897 0.2350 0.2268
O: 0.5897 0.2650 0.7268
O: 0.5996 0.0031 0.3929
O: 0.5996 0.4969 0.8929
O: 0.6059 0.5087 0.4017
O: 0.6059 0.9913 0.9017
O: 0.7965 0.7486 0.3535
O: 0.7965 0.7514 0.8535
O: 0.8006 0.0121 0.1959
O: 0.8006 0.4879 0.6959
O: 0.8016 0.5062 0.1982
O: 0.8016 0.9938 0.6982
O: 0.8027 0.2487 0.0392
O: 0.8027 0.2513 0.5392
O: 0.9905 0.7406 0.6514
O: 0.9905 0.7594 0.1514


No. 2
Calculated powder diffraction line list of MgTa3 for λ = 1.5418 Å (Cu Kα), from the GGA-PBE geometry in Alexandria.
No peak broadening, texture or thermal motion is included.

Top 10 peaks for 2θ = 10–80°, in order of falling intensity:
2theta	I/Imax
38.23	100
69.11	36
23.14	18
55.18	17
45.16	9
26.78	9
60.62	4
62.37	4
73.97	3
47.29	3

Crystal structure
Lattice parameters (Å, degrees): 4.7084 4.7084 4.7084 60.00 60.00 60.00
Positions (direct):
Mg: 0.0000 0.0000 0.0000
Ta: 0.2500 0.2500 0.2500
Ta: 0.5000 0.5000 0.5000
Ta: 0.7500 0.7500 0.7500